Calculated PXRD pattern
Compound: AcPbAu2
Radiation: CuKα
Structure: DFT lattice parameters and positions (GGA-PBE)
Neutral-atom scattering factors, no anomalous dispersion.

Structural model:
```
data_AcPbAu2
_chemical_formula_sum 'Ac4 Pb4 Au8'
_cell_length_a 7.528
_cell_length_b 7.528
_cell_length_c 7.528
_cell_angle_alpha 90.00
_cell_angle_beta 90.00
_cell_angle_gamma 90.00
_symmetry_space_group_name_H-M 'F m -3 m'
_symmetry_Int_Tables_number 225
_symmetry_space_group_name_Hall '-F 4 2 3'
loop_
_atom_site_label
_atom_site_fract_x
_atom_site_fract_y
_atom_site_fract_z
Ac1 0.000 0.000 0.000
Pb1 0.000 0.000 0.500
Au1 0.250 0.250 0.250
```

Top 3 peaks for 2θ from 5° to 70°, in order of falling intensity:
d 2.661, intensity 100, hkl 2 2 0
d 1.537, intensity 39, hkl 4 2 2
d 1.882, intensity 18, hkl 4 0 0